Diffraction record for NaSc3P8H14O24. The X-ray powder pattern is computed, not measured: it uses the PBE geometry in the Materials Project and Cu Kα.
No peak broadening, texture or thermal motion is included.

The 6 most intense peaks (2θ = 10–90°), by angle:
two_theta, I/Imax
16.38, 592
21.30, 361
24.80, 1000
24.92, 458
28.05, 544
28.38, 125

```
data_NaSc3P8H14O24
_symmetry_space_group_name_H-M 'P 1'
_symmetry_Int_Tables_number 1
_cell_length_a 7.711
_cell_length_b 9.772
_cell_length_c 9.807
_cell_angle_alpha 115.69
_cell_angle_beta 101.88
_cell_angle_gamma 101.22
loop_
_symmetry_equiv_pos_as_xyz
'x,y,z'
loop_
_atom_site_label
_atom_site_fract_x
_atom_site_fract_y
_atom_site_fract_z
_atom_site_occupancy
Na1 0.000 0.000 0.000 1
Sc1 0.000 0.500 0.500 1
Sc2 0.497 0.763 0.218 1
Sc3 0.503 0.237 0.782 1
P1 0.212 0.475 0.838 1
P2 0.221 0.997 0.376 1
P3 0.297 0.432 0.259 1
P4 0.313 0.879 0.770 1
P5 0.687 0.121 0.230 1
P6 0.703 0.568 0.741 1
P7 0.779 0.003 0.624 1
P8 0.788 0.525 0.162 1
H1 0.044 0.439 0.871 1
H2 0.063 0.912 0.391 1
H3 0.126 0.184 0.350 1
H4 0.245 0.290 0.002 1
H5 0.266 0.789 0.933 1
H6 0.467 0.418 0.328 1
H7 0.485 0.850 0.792 1
H8 0.515 0.150 0.208 1
H9 0.533 0.582 0.672 1
H10 0.734 0.211 0.067 1
H11 0.755 0.710 0.998 1
H12 0.874 0.816 0.650 1
H13 0.937 0.088 0.609 1
H14 0.956 0.561 0.129 1
O1 0.136 0.080 0.279 1
O2 0.161 0.465 0.674 1
O3 0.171 0.420 0.356 1
O4 0.171 0.742 0.613 1
O5 0.204 0.273 0.085 1
O6 0.251 0.883 0.918 1
O7 0.297 0.879 0.267 1
O8 0.304 0.351 0.847 1
O9 0.331 0.650 0.970 1
O10 0.338 0.577 0.238 1
O11 0.341 0.045 0.791 1
O12 0.352 0.128 0.539 1
O13 0.648 0.872 0.461 1
O14 0.659 0.955 0.209 1
O15 0.662 0.423 0.762 1
O16 0.669 0.350 0.030 1
O17 0.696 0.649 0.153 1
O18 0.703 0.121 0.733 1
O19 0.749 0.117 0.082 1
O20 0.796 0.727 0.915 1
O21 0.829 0.258 0.387 1
O22 0.829 0.580 0.644 1
O23 0.839 0.535 0.326 1
O24 0.864 0.920 0.721 1
```